Computed powder X-ray diffraction pattern of Mn3TlB4O12 for copper Kα, from DFT lattice parameters and positions (GGA+U).
Lines closer than 0.1° are merged.

The 12 most intense peaks (2θ from 5° to 70°), by angle:
| Position (°2θ) | I/Imax |
| --- | --- |
| 15.58 | 56 |
| 18.31 | 38 |
| 24.13 | 86 |
| 25.35 | 19 |
| 30.46 | 33 |
| 31.45 | 100 |
| 36.64 | 25 |
| 37.11 | 29 |
| 40.47 | 19 |
| 44.76 | 20 |
| 51.77 | 33 |
| 52.06 | 21 |

Structure:
Cell lengths 9.6894, 9.6894, 7.7381 Å; angles 90.00, 90.00, 120.00 degrees
Space group R32 (No. 155, hexagonal axes)
Inequivalent atoms, fractional coordinates:
Mn (0.0000, 0.5465, 0.0000) [9 per cell]
Tl (0.0000, 0.0000, 0.0000) [3 per cell]
B (0.0000, 0.0000, 0.5000) [3 per cell]
B (0.0000, 0.4544, 0.5000) [9 per cell]
O (0.0000, 0.5969, 0.5000) [9 per cell]
O (0.0000, 0.8572, 0.5000) [9 per cell]
O (0.0190, 0.2076, 0.1801) [18 per cell]